Computed powder X-ray diffraction pattern of LiMg2 for Cu Kα, from a crystal structure in Alexandria, relaxed with PBE.
Neutral-atom scattering factors, no anomalous dispersion.

Atomic structure:
```
LiMg2
1.0
3.1601 0.0000 0.0000
-1.5801 2.7367 0.0000
0.0000 0.0000 15.0607
Li Mg
2 4
Direct
0.0000 0.0000 0.1637
0.0000 0.0000 0.8363
0.0000 0.0000 0.5000
0.3333 0.6667 0.0000
0.3333 0.6667 0.3247
0.3333 0.6667 0.6753
```

Principal peaks in the range 10° ≤ 2θ ≤ 90°, by angle:
2θ (°)	d (Å)	Rel. int.
11.8	7.530	8
17.7	5.020	19
32.7	2.737	33
35.8	2.510	23
37.4	2.403	100
49.3	1.850	19
58.4	1.580	17
65.4	1.428	16
70.4	1.337	18
71.5	1.320	14


Computed powder X-ray diffraction pattern of K3Pa4Se12 for Cu Kα, from a crystal structure in Alexandria, relaxed with PBE.
Neutral-atom scattering factors, no anomalous dispersion.

Atomic structure:
```
K3Pa4Se12
1.0
-5.4818 5.4818 5.4818
5.4818 -5.4818 5.4818
5.4818 5.4818 -5.4818
K Pa Se
3 4 12
Direct
0.0000 0.5000 0.5000
0.5000 0.0000 0.5000
0.5000 0.5000 0.0000
0.0000 0.0000 0.5000
0.0000 0.5000 0.0000
0.5000 0.0000 0.0000
0.5000 0.5000 0.5000
0.0332 0.7652 0.2680
0.2348 0.2680 0.5027
0.2348 0.7320 0.9668
0.2680 0.0332 0.7652
0.2680 0.5027 0.2348
0.4973 0.7652 0.7320
0.5027 0.2348 0.2680
0.7320 0.4973 0.7652
0.7320 0.9668 0.2348
0.7652 0.2680 0.0332
0.7652 0.7320 0.4973
0.9668 0.2348 0.7320
```

Principal peaks in the range 10° ≤ 2θ ≤ 90°, by angle:
2θ (°)	d (Å)	Rel. int.
16.2	5.482	100
22.9	3.876	38
32.7	2.741	59
36.7	2.452	55
40.3	2.238	21
46.9	1.938	40
49.9	1.827	28
58.3	1.582	13
70.9	1.330	16
77.9	1.226	15